Starting from a PBE-relaxed structure, the powder XRD pattern of KHg3Au2 was calculated for Cu Ka.
Kinematic intensities with the Lorentz-polarization factor, no thermal factor.

Principal peaks in the range 2θ from 10° to 80°, sorted by position:
h k l, d_spacing, I/Imax
2 0 1, 6.103, 77
1 1 0, 4.573, 35
1 1 -3, 2.968, 100
0 2 0, 2.365, 77
7 1 -1, 2.326, 49
1 1 4, 2.277, 50
5 1 -4, 2.262, 58
7 1 0, 2.249, 53

Structural model:
```
data_KHg3Au2
_space_group_name_H-M_alt 'C 1 2/m 1'
_space_group_IT_number 12
_space_group_name_Hall '-C 2y'
_cell_length_a 18.7307
_cell_length_b 4.7306
_cell_length_c 11.4843
_cell_angle_alpha 90.00
_cell_angle_beta 107.23
_cell_angle_gamma 90.00
loop_
_atom_site_label
_atom_site_type_symbol
_atom_site_fract_x
_atom_site_fract_y
_atom_site_fract_z
K1 K 0.0000 0.0000 0.0000
K2 K 0.1592 0.0000 0.7052
Hg1 Hg 0.0000 0.5000 0.5000
Hg2 Hg 0.0431 0.0000 0.3429
Hg3 Hg 0.1262 0.5000 0.1883
Hg4 Hg 0.1676 0.5000 0.9525
Hg5 Hg 0.2183 0.0000 0.3857
Au1 Au 0.0274 0.5000 0.7783
Au2 Au 0.1377 0.5000 0.4483
Au3 Au 0.1999 0.0000 0.1223
```

=====

Starting from a PBE-relaxed structure, the powder XRD pattern of K2Hg5Au5 was calculated for Cu Ka.
Kinematic intensities with the Lorentz-polarization factor, no thermal factor.

Principal peaks in the range 2θ from 10° to 80°, sorted by position:
h k l, d_spacing, I/Imax
0 0 2, 5.495, 49
0 1 1, 5.089, 75
1 1 3, 2.596, 100
1 2 0, 2.463, 43
2 0 0, 2.398, 54
1 0 4, 2.384, 44
1 2 2, 2.248, 95
2 2 6, 1.298, 25

Structural model:
```
data_K2Hg5Au5
_space_group_name_H-M_alt 'P m m m'
_space_group_IT_number 47
_space_group_name_Hall '-P 2 2'
_cell_length_a 4.7957
_cell_length_b 5.7413
_cell_length_c 10.9896
_cell_angle_alpha 90.00
_cell_angle_beta 90.00
_cell_angle_gamma 90.00
loop_
_atom_site_label
_atom_site_type_symbol
_atom_site_fract_x
_atom_site_fract_y
_atom_site_fract_z
K1 K 0.0000 0.0000 0.0000
K2 K 0.0000 0.5000 0.5000
Hg1 Hg 0.0000 0.0000 0.3220
Hg2 Hg 0.0000 0.5000 0.1642
Hg3 Hg 0.5000 0.0000 0.5000
Au1 Au 0.5000 0.2462 0.2315
Au2 Au 0.5000 0.5000 0.0000
```

=====

Starting from a PBE-relaxed structure, the powder XRD pattern of K7Hg2Au was calculated for Cu Ka.
Kinematic intensities with the Lorentz-polarization factor, no thermal factor.

Principal peaks in the range 2θ from 10° to 80°, sorted by position:
h k l, d_spacing, I/Imax
0 0 2, 4.916, 40
0 2 0, 4.740, 100
3 1 0, 4.669, 63
0 2 2, 3.409, 63
3 1 -4, 2.820, 32
6 0 -4, 2.737, 60
3 3 0, 2.720, 27
6 2 -2, 2.681, 34

Structural model:
```
data_K7Hg2Au
_space_group_name_H-M_alt 'C 1 2/c 1'
_space_group_IT_number 15
_space_group_name_Hall '-C 2yc'
_cell_length_a 19.5132
_cell_length_b 9.4645
_cell_length_c 11.9163
_cell_angle_alpha 90.00
_cell_angle_beta 124.40
_cell_angle_gamma 90.00
loop_
_atom_site_label
_atom_site_type_symbol
_atom_site_fract_x
_atom_site_fract_y
_atom_site_fract_z
K1 K 0.0000 0.1066 0.2500
K2 K 0.0863 0.3285 0.5841
K3 K 0.1372 0.2402 0.9824
K4 K 0.1961 0.3865 0.3591
Hg1 Hg 0.1896 0.0030 0.2801
Au1 Au 0.0000 0.4926 0.2500
```

=====

Starting from a PBE-relaxed structure, the powder XRD pattern of KHg3Au was calculated for Cu Ka.
Kinematic intensities with the Lorentz-polarization factor, no thermal factor.

Principal peaks in the range 2θ from 10° to 80°, sorted by position:
h k l, d_spacing, I/Imax
1 0 0, 6.382, 37
1 0 1, 4.444, 52
2 0 1, 2.837, 100
2 1 0, 2.412, 58
1 1 2, 2.370, 24
2 0 2, 2.222, 50
2 2 0, 1.842, 25
2 0 3, 1.733, 24

Structural model:
```
data_KHg3Au
_space_group_name_H-M_alt 'P 63/m m c'
_space_group_IT_number 194
_space_group_name_Hall '-P 6c 2c'
_cell_length_a 7.3693
_cell_length_b 7.3693
_cell_length_c 6.1925
_cell_angle_alpha 90.00
_cell_angle_beta 90.00
_cell_angle_gamma 120.00
loop_
_atom_site_label
_atom_site_type_symbol
_atom_site_fract_x
_atom_site_fract_y
_atom_site_fract_z
K1 K 0.3333 0.6667 0.2500
Hg1 Hg 0.1932 0.3864 0.7500
Au1 Au 0.0000 0.0000 0.0000
```

=====

Starting from a PBE-relaxed structure, the powder XRD pattern of K6Na2HgAu was calculated for Cu Ka.
Kinematic intensities with the Lorentz-polarization factor, no thermal factor.

Principal peaks in the range 2θ from 10° to 80°, sorted by position:
h k l, d_spacing, I/Imax
0 2 0, 6.594, 100
2 0 0, 4.663, 64
0 4 0, 3.297, 52
2 0 1, 2.950, 50
2 4 0, 2.693, 28
4 0 0, 2.333, 33
0 6 0, 2.200, 22
2 0 2, 2.087, 11

Structural model:
```
data_K6Na2HgAu
_space_group_name_H-M_alt 'C 1 m 1'
_space_group_IT_number 8
_space_group_name_Hall 'C -2y'
_cell_length_a 13.1703
_cell_length_b 13.1974
_cell_length_c 9.3017
_cell_angle_alpha 90.00
_cell_angle_beta 134.82
_cell_angle_gamma 90.00
loop_
_atom_site_label
_atom_site_type_symbol
_atom_site_fract_x
_atom_site_fract_y
_atom_site_fract_z
K1 K 0.0000 0.0000 0.0000
K2 K 0.0019 0.0000 0.4918
K3 K 0.0117 0.5000 0.0006
K4 K 0.0136 0.5000 0.5148
K5 K 0.2565 0.2558 0.0005
Na1 Na 0.2566 0.2493 0.5003
Hg1 Hg 0.2576 0.0000 0.0040
Au1 Au 0.2575 0.5000 0.0036
```

=====

Starting from a PBE-relaxed structure, the powder XRD pattern of KHgAuO2 was calculated for Cu Ka.
Kinematic intensities with the Lorentz-polarization factor, no thermal factor.

Principal peaks in the range 2θ from 10° to 80°, sorted by position:
h k l, d_spacing, I/Imax
0 2 0, 6.275, 100
0 4 0, 3.138, 25
2 0 1, 2.848, 34
2 2 1, 2.593, 60
0 2 2, 2.296, 24
2 4 1, 2.109, 34
0 4 2, 1.939, 12
2 6 1, 1.686, 17

Structural model:
```
data_KHgAuO2
_space_group_name_H-M_alt 'C m m e'
_space_group_IT_number 67
_space_group_name_Hall '-C 2a 2'
_cell_length_a 6.9753
_cell_length_b 12.5500
_cell_length_c 4.9337
_cell_angle_alpha 90.00
_cell_angle_beta 90.00
_cell_angle_gamma 90.00
loop_
_atom_site_label
_atom_site_type_symbol
_atom_site_fract_x
_atom_site_fract_y
_atom_site_fract_z
K1 K 0.0000 0.2500 0.2251
Hg1 Hg 0.2500 0.0000 0.0000
Au1 Au 0.0000 0.0000 0.5000
O1 O 0.0000 0.1072 0.8151
```

=====

Starting from a PBE-relaxed structure, the powder XRD pattern of K2HgAuO4 was calculated for Cu Ka.
Kinematic intensities with the Lorentz-polarization factor, no thermal factor.

Principal peaks in the range 2θ from 10° to 80°, sorted by position:
h k l, d_spacing, I/Imax
1 1 0, 4.732, 91
0 0 2, 3.360, 30
2 0 0, 3.346, 75
1 1 2, 2.739, 38
2 0 2, 2.369, 100
2 2 2, 1.934, 34
3 1 2, 1.791, 31
4 0 2, 1.497, 34

Structural model:
```
data_K2HgAuO4
_space_group_name_H-M_alt 'I -4 2 m'
_space_group_IT_number 121
_space_group_name_Hall 'I -4 2'
_cell_length_a 6.6916
_cell_length_b 6.6916
_cell_length_c 6.7207
_cell_angle_alpha 90.00
_cell_angle_beta 90.00
_cell_angle_gamma 90.00
loop_
_atom_site_label
_atom_site_type_symbol
_atom_site_fract_x
_atom_site_fract_y
_atom_site_fract_z
K1 K 0.0000 0.5000 0.0000
Hg1 Hg 0.0000 0.0000 0.0000
Au1 Au 0.0000 0.0000 0.5000
O1 O 0.1440 0.1440 0.2746
```

=====

Starting from a PBE-relaxed structure, the powder XRD pattern of K2Hg3PbAu4 was calculated for Cu Ka.
Kinematic intensities with the Lorentz-polarization factor, no thermal factor.

Principal peaks in the range 2θ from 10° to 80°, sorted by position:
h k l, d_spacing, I/Imax
0 0 2, 5.610, 45
1 0 1, 4.582, 53
1 1 2, 2.999, 99
2 0 0, 2.510, 72
1 1 4, 2.201, 100
2 2 0, 1.775, 26
3 1 2, 1.527, 25
3 1 4, 1.381, 43

Structural model:
```
data_K2Hg3PbAu4
_space_group_name_H-M_alt 'P -4 m 2'
_space_group_IT_number 115
_space_group_name_Hall 'P -4 -2'
_cell_length_a 5.0195
_cell_length_b 5.0195
_cell_length_c 11.2194
_cell_angle_alpha 90.00
_cell_angle_beta 90.00
_cell_angle_gamma 90.00
loop_
_atom_site_label
_atom_site_type_symbol
_atom_site_fract_x
_atom_site_fract_y
_atom_site_fract_z
K1 K 0.0000 0.5000 0.2305
Hg1 Hg 0.0000 0.5000 0.8750
Hg2 Hg 0.5000 0.5000 0.5000
Pb1 Pb 0.0000 0.0000 0.5000
Au1 Au 0.0000 0.0000 0.0000
Au2 Au 0.0000 0.5000 0.6270
Au3 Au 0.5000 0.5000 0.0000
```

=====

Starting from a PBE-relaxed structure, the powder XRD pattern of K2RbHgAu2 was calculated for Cu Ka.
Kinematic intensities with the Lorentz-polarization factor, no thermal factor.

Principal peaks in the range 2θ from 10° to 80°, sorted by position:
h k l, d_spacing, I/Imax
0 1 1, 6.623, 40
0 0 2, 4.496, 54
1 1 0, 4.337, 36
0 2 1, 4.300, 34
1 1 2, 3.121, 100
1 3 0, 2.706, 31
1 3 1, 2.591, 75
2 0 0, 2.419, 37

Structural model:
```
data_K2RbHgAu2
_space_group_name_H-M_alt 'P m c 21'
_space_group_IT_number 26
_space_group_name_Hall 'P 2c -2'
_cell_length_a 4.8377
_cell_length_b 9.7927
_cell_length_c 8.9916
_cell_angle_alpha 90.00
_cell_angle_beta 90.00
_cell_angle_gamma 90.00
loop_
_atom_site_label
_atom_site_type_symbol
_atom_site_fract_x
_atom_site_fract_y
_atom_site_fract_z
K1 K 0.0000 0.0797 0.0000
K2 K 0.5000 0.1989 0.3471
Rb1 Rb 0.5000 0.4319 0.9254
Hg1 Hg 0.0000 0.2968 0.6445
Au1 Au 0.0000 0.3923 0.1996
Au2 Au 0.5000 0.1182 0.7075
```

=====

Starting from a PBE-relaxed structure, the powder XRD pattern of K4Rb2HgAu2 was calculated for Cu Ka.
Kinematic intensities with the Lorentz-polarization factor, no thermal factor.

Principal peaks in the range 2θ from 10° to 80°, sorted by position:
h k l, d_spacing, I/Imax
1 0 0, 5.902, 100
1 0 -1, 5.777, 89
0 0 2, 4.842, 36
1 -1 2, 3.343, 36
0 0 3, 3.224, 74
-2 1 1, 3.052, 30
1 -3 0, 2.623, 46
2 0 -3, 2.545, 35

Structural model:
```
data_K4Rb2HgAu2
_space_group_name_H-M_alt 'P -1'
_space_group_IT_number 2
_space_group_name_Hall '-P 1'
_cell_length_a 6.2455
_cell_length_b 8.0995
_cell_length_c 10.0907
_cell_angle_alpha 94.86
_cell_angle_beta 104.28
_cell_angle_gamma 101.15
loop_
_atom_site_label
_atom_site_type_symbol
_atom_site_fract_x
_atom_site_fract_y
_atom_site_fract_z
K1 K 0.0622 0.2498 0.4757
K2 K 0.1741 0.7865 0.1589
Rb1 Rb 0.4956 0.3386 0.1995
Hg1 Hg 0.5000 0.0000 0.5000
Au1 Au 0.3797 0.6258 0.4442
```

=====

Starting from a PBE-relaxed structure, the powder XRD pattern of K2RbHg7Au2 was calculated for Cu Ka.
Kinematic intensities with the Lorentz-polarization factor, no thermal factor.

Principal peaks in the range 2θ from 10° to 80°, sorted by position:
h k l, d_spacing, I/Imax
1 1 0, 5.459, 100
2 0 2, 3.185, 64
2 0 -3, 3.050, 48
2 2 -1, 2.712, 82
0 0 5, 2.685, 72
1 3 1, 2.414, 65
3 1 -3, 2.212, 44
0 4 0, 1.958, 40

Structural model:
```
data_K2RbHg7Au2
_space_group_name_H-M_alt 'C 1 2/m 1'
_space_group_IT_number 12
_space_group_name_Hall '-C 2y'
_cell_length_a 7.6577
_cell_length_b 7.8228
_cell_length_c 13.4899
_cell_angle_alpha 90.00
_cell_angle_beta 95.53
_cell_angle_gamma 90.00
loop_
_atom_site_label
_atom_site_type_symbol
_atom_site_fract_x
_atom_site_fract_y
_atom_site_fract_z
K1 K 0.0870 0.0000 0.3587
Rb1 Rb 0.0000 0.0000 0.0000
Hg1 Hg 0.0000 0.5000 0.0000
Hg2 Hg 0.1315 0.5000 0.4200
Hg3 Hg 0.1369 0.3055 0.8067
Au1 Au 0.1859 0.5000 0.2069
```

=====

Starting from a PBE-relaxed structure, the powder XRD pattern of KSnHgAu2 was calculated for Cu Ka.
Kinematic intensities with the Lorentz-polarization factor, no thermal factor.

Principal peaks in the range 2θ from 10° to 80°, sorted by position:
h k l, d_spacing, I/Imax
0 0 2, 6.455, 30
0 1 1, 4.516, 49
1 0 1, 4.047, 47
1 1 2, 2.862, 93
0 2 0, 2.410, 42
0 1 5, 2.276, 32
1 1 4, 2.270, 100
2 0 0, 2.131, 30

Structural model:
```
data_KSnHgAu2
_space_group_name_H-M_alt 'I m m 2'
_space_group_IT_number 44
_space_group_name_Hall 'I 2 -2'
_cell_length_a 4.2620
_cell_length_b 4.8203
_cell_length_c 12.9093
_cell_angle_alpha 90.00
_cell_angle_beta 90.00
_cell_angle_gamma 90.00
loop_
_atom_site_label
_atom_site_type_symbol
_atom_site_fract_x
_atom_site_fract_y
_atom_site_fract_z
K1 K 0.0000 0.0000 0.0000
Sn1 Sn 0.0000 0.5000 0.7603
Hg1 Hg 0.0000 0.0000 0.6134
Au1 Au 0.0000 0.0000 0.3977
Au2 Au 0.0000 0.5000 0.2717
```